Diffraction record for Li2Mg4Al3. The powder diffraction line list is calculated, not measured: it uses the PBE geometry in Alexandria and Cu Kα (λ = 1.5418 Å).
Peak positions follow from Bragg's law for the DFT cell and can differ from measured ones.

Structural model:
a b c (Å): 4.739 4.739 8.795
angles (deg): 90.07 90.07 59.99
Fractional coordinates of all 9 atoms:
Li  0.168  0.168  0.223
Li  0.832  0.832  0.777
Mg  0.166  0.166  0.886
Mg  0.499  0.499  0.669
Mg  0.501  0.501  0.331
Mg  0.834  0.834  0.114
Al  0.166  0.166  0.544
Al  0.500  0.500  0.000
Al  0.834  0.834  0.456

Top 10 peaks for 10 to 90 degrees two-theta, in order of rising 2θ:
2θ/deg	I_rel
20.2	9.0
23.9	21.2
37.7	100.0
38.0	96.5
54.6	33.0
67.9	15.5
68.4	32.6
68.6	15.9
80.5	9.3
81.2	9.6


Diffraction record for Ac2Cd2InPd5. The powder diffraction line list is calculated, not measured: it uses the PBE geometry in Alexandria and Cu Kα (λ = 1.5418 Å).
Peak positions follow from Bragg's law for the DFT cell and can differ from measured ones.

Structural model:
a b c (Å): 10.735 10.735 3.818
angles (deg): 90.00 90.00 90.00
Fractional coordinates of all 20 atoms:
Ac  0.174  0.326  0.000
Ac  0.326  0.826  0.000
Ac  0.674  0.174  0.000
Ac  0.826  0.674  0.000
Cd  0.125  0.625  0.000
Cd  0.375  0.125  0.000
Cd  0.625  0.875  0.000
Cd  0.875  0.375  0.000
In  0.000  0.000  0.000
In  0.500  0.500  0.000
Pd  0.000  0.500  0.500
Pd  0.050  0.805  0.500
Pd  0.195  0.050  0.500
Pd  0.305  0.550  0.500
Pd  0.450  0.305  0.500
Pd  0.500  0.000  0.500
Pd  0.550  0.695  0.500
Pd  0.695  0.450  0.500
Pd  0.805  0.950  0.500
Pd  0.950  0.195  0.500

Top 10 peaks for 10 to 90 degrees two-theta, in order of rising 2θ:
2θ/deg	I_rel
29.9	14.1
33.3	17.8
34.4	35.1
35.4	100.0
38.3	19.9
41.1	12.6
47.6	15.8
57.6	9.7
60.1	14.3
60.8	10.1


Diffraction record for Zr5Ta4. The powder diffraction line list is calculated, not measured: it uses the PBE geometry in Alexandria and Cu Kα (λ = 1.5418 Å).
Peak positions follow from Bragg's law for the DFT cell and can differ from measured ones.

Structural model:
a b c (Å): 8.598 8.598 5.888
angles (deg): 90.00 90.00 120.00
Fractional coordinates of all 18 atoms:
Zr  0.000  0.350  0.250
Zr  0.000  0.650  0.750
Zr  0.333  0.667  0.000
Zr  0.333  0.667  0.500
Zr  0.350  0.000  0.250
Zr  0.350  0.350  0.750
Zr  0.650  0.000  0.750
Zr  0.650  0.650  0.250
Zr  0.667  0.333  0.000
Zr  0.667  0.333  0.500
Ta  0.000  0.000  0.000
Ta  0.000  0.000  0.500
Ta  0.000  0.301  0.750
Ta  0.000  0.699  0.250
Ta  0.301  0.000  0.750
Ta  0.301  0.301  0.250
Ta  0.699  0.000  0.250
Ta  0.699  0.699  0.750

Top 10 peaks for 10 to 90 degrees two-theta, in order of rising 2θ:
2θ/deg	I_rel
11.9	19.3
25.7	16.2
35.3	14.5
36.2	100.0
37.0	88.2
52.7	29.7
65.1	13.8
65.6	27.5
75.0	23.6
88.5	15.7


Diffraction record for Pr3Dy8Th. The powder diffraction line list is calculated, not measured: it uses the PBE geometry in Alexandria and Cu Kα (λ = 1.5418 Å).
Peak positions follow from Bragg's law for the DFT cell and can differ from measured ones.

Structural model:
a b c (Å): 8.545 8.545 8.545
angles (deg): 100.59 95.06 136.71
Fractional coordinates of all 12 atoms:
Pr  0.000  0.000  0.000
Pr  0.412  0.663  0.749
Pr  0.914  0.663  0.251
Dy  0.408  0.321  0.416
Dy  0.408  0.992  0.087
Dy  0.490  0.316  0.826
Dy  0.490  0.664  0.174
Dy  0.905  0.321  0.913
Dy  0.905  0.992  0.584
Dy  0.987  0.321  0.333
Dy  0.987  0.654  0.667
Th  0.502  0.002  0.500

Top 10 peaks for 10 to 90 degrees two-theta, in order of rising 2θ:
2θ/deg	I_rel
28.3	23.7
31.0	25.0
32.4	100.0
42.5	15.9
50.1	19.5
56.0	21.2
60.1	22.6
60.9	16.2
82.7	13.7
86.0	8.5


Diffraction record for FeAg2Br5. The powder diffraction line list is calculated, not measured: it uses the PBE geometry in Alexandria and Cu Kα (λ = 1.5418 Å).
Peak positions follow from Bragg's law for the DFT cell and can differ from measured ones.

Structural model:
a b c (Å): 7.633 7.633 10.026
angles (deg): 110.00 110.00 90.26
Fractional coordinates of all 16 atoms:
Fe  0.096  0.904  0.750
Fe  0.904  0.096  0.250
Ag  0.000  0.500  0.000
Ag  0.500  0.000  0.500
Ag  0.500  0.500  0.000
Ag  0.500  0.500  0.500
Br  0.162  0.237  0.834
Br  0.216  0.776  0.555
Br  0.224  0.784  0.945
Br  0.237  0.162  0.334
Br  0.394  0.606  0.250
Br  0.606  0.394  0.750
Br  0.763  0.838  0.666
Br  0.776  0.216  0.055
Br  0.784  0.224  0.445
Br  0.838  0.763  0.166

Top 10 peaks for 10 to 90 degrees two-theta, in order of rising 2θ:
2θ/deg	I_rel
12.9	45.9
18.7	49.4
19.5	100.0
23.3	44.0
26.2	49.0
26.4	54.5
30.5	63.2
38.2	65.9
39.1	46.0
47.7	56.2


Diffraction record for ErGa2CuPd4. The powder diffraction line list is calculated, not measured: it uses the PBE geometry in Alexandria and Cu Kα (λ = 1.5418 Å).
Peak positions follow from Bragg's law for the DFT cell and can differ from measured ones.

Structural model:
a b c (Å): 8.206 8.206 8.206
angles (deg): 31.07 31.07 31.07
Fractional coordinates of all 8 atoms:
Er  0.000  0.000  0.000
Ga  0.242  0.242  0.242
Ga  0.758  0.758  0.758
Cu  0.500  0.500  0.500
Pd  0.127  0.127  0.127
Pd  0.392  0.392  0.392
Pd  0.608  0.608  0.608
Pd  0.873  0.873  0.873

Top 10 peaks for 10 to 90 degrees two-theta, in order of rising 2θ:
2θ/deg	I_rel
24.6	9.8
30.3	13.6
35.7	9.4
38.8	93.2
41.1	100.0
57.8	28.5
68.7	8.4
73.3	27.6
74.8	16.4
89.1	10.7